# CsMg2F
Simulated powder X-ray diffraction pattern, Cu Kα. Input: a cell relaxed with PBE.
Intensities are scaled so that the largest is 100.

Principal peaks in the range 2θ from 10° to 90°, sorted by position:
d [Å]  2θ (°)  intensity
5.924  15.0  23
3.628  24.5  100
3.099  28.8  42
3.082  29.0  21
2.097  43.1  28
2.089  43.3  14
1.979  45.8  12
1.811  50.4  16
1.626  56.6  12
1.338  70.3  8

Structure:
Cell lengths 7.2461, 7.2461, 7.2461 Å; angles 119.74, 119.74, 90.44 degrees
Fractional positions:
Cs 0.3750 0.6250 0.7500
Cs 0.6250 0.3750 0.2500
Mg 0.0000 0.0000 0.0000
Mg 0.0000 0.0000 0.5000
Mg 0.0000 0.5000 0.0000
Mg 0.5000 0.0000 0.5000
F 0.1250 0.8750 0.2500
F 0.8750 0.1250 0.7500